For Tl2VCl3F, a cell relaxed with PBE+U gives the theoretical powder diffraction line list in this record (Cu Kα).
Neutral-atom scattering factors, no anomalous dispersion.

Peak list (12 most intense, 15 to 90 degrees two-theta, low angle first)
18.1°, d = 4.900 Å, I = 31, hkl 0 1 1; 21.2°, d = 4.193 Å, I = 35, hkl 0 0 4; 23.6°, d = 3.777 Å, I = 73, hkl 0 1 3; 26.5°, d = 3.367 Å, I = 67, hkl 1 0 3; 27.4°, d = 3.256 Å, I = 100, hkl 1 1 0; 32.0°, d = 2.795 Å, I = 33, hkl 0 0 6; 34.9°, d = 2.572 Å, I = 78, hkl 1 1 4; 35.0°, d = 2.562 Å, I = 40, hkl 0 2 0; 42.6°, d = 2.121 Å, I = 35, hkl 1 1 6; 42.9°, d = 2.109 Å, I = 23, hkl 2 0 0; 44.4°, d = 2.039 Å, I = 35, hkl 1 2 3; 49.5°, d = 1.841 Å, I = 22, hkl 2 1 3

Crystal structure
Unit cell a=4.2174 b=5.1240 c=16.7711 alpha=90.00 beta=90.00 gamma=90.00
Atoms (fractional coordinates):
Tl 0.0000 0.0000 0.1471
Tl 0.0000 0.0000 0.8529
Tl 0.5000 0.5000 0.3529
Tl 0.5000 0.5000 0.6471
V 0.0000 0.0000 0.5000
V 0.5000 0.5000 0.0000
Cl 0.0000 0.0000 0.3470
Cl 0.0000 0.0000 0.6530
Cl 0.0000 0.5000 0.5000
Cl 0.5000 0.0000 0.0000
Cl 0.5000 0.5000 0.1530
Cl 0.5000 0.5000 0.8470
F 0.0000 0.5000 0.0000
F 0.5000 0.0000 0.5000